Simulated X-ray diffraction stick pattern of FeOF for Cu Kα, 1.54184 Å, from DFT lattice parameters and positions (PBE+U).

The 10 most intense peaks (10 to 80 degrees two-theta), sorted by position:
d [Å]  Position (°2θ)  I/Imax
3.362  26.51  97.3
3.340  26.69  100.0
2.601  34.48  49.6
2.593  34.59  49.1
2.370  37.97  16.6
2.274  39.63  25.5
1.749  52.29  57.1
1.746  52.42  28.1
1.670  54.98  17.1
1.406  66.49  29.1

Cell and atoms:
Cell lengths 6.2098, 9.4778, 9.4795 Å; angles 89.63, 89.70, 89.89 degrees
Positions (direct):
Fe1 0.0007 0.2486 0.2485
Fe2 0.0182 0.7606 0.2407
Fe3 0.2258 0.5107 0.0105
Fe4 0.2261 0.9904 0.4905
Fe5 0.2333 0.9816 0.9842
Fe6 0.2690 0.4837 0.4803
Fe7 0.4839 0.7403 0.2595
Fe8 0.4986 0.7495 0.7497
Fe9 0.5014 0.2505 0.2503
Fe10 0.5161 0.2597 0.7405
Fe11 0.7310 0.5163 0.5197
Fe12 0.7667 0.0184 0.0158
Fe13 0.7739 0.0096 0.5095
Fe14 0.7742 0.4893 0.9895
Fe15 0.9818 0.2394 0.7593
Fe16 0.9993 0.7514 0.7515
O1 0.0000 0.3992 0.0990
O2 0.0000 0.6008 0.9010
O3 0.0007 0.0993 0.3992
O4 0.0041 0.0962 0.9036
O5 0.2517 0.8467 0.3472
O6 0.2526 0.6534 0.1540
O7 0.2561 0.3393 0.3379
O8 0.2596 0.8396 0.8400
O9 0.4948 0.4035 0.5964
O10 0.5052 0.5965 0.4036
O11 0.7404 0.1604 0.1600
O12 0.7439 0.6607 0.6621
O13 0.7474 0.3466 0.8460
O14 0.7483 0.1533 0.6528
O15 0.9959 0.9038 0.0964
O16 0.9993 0.9007 0.6008
F1 0.0046 0.4045 0.5958
F2 0.2506 0.6474 0.6462
F3 0.2524 0.3470 0.8472
F4 0.2527 0.1533 0.6535
F5 0.2628 0.1449 0.1456
F6 0.4959 0.0969 0.9034
F7 0.4994 0.9052 0.5950
F8 0.5004 0.4053 0.0951
F9 0.4996 0.5947 0.9049
F10 0.5006 0.0948 0.4050
F11 0.5041 0.9031 0.0966
F12 0.7372 0.8551 0.8544
F13 0.7473 0.8467 0.3465
F14 0.7476 0.6530 0.1528
F15 0.7494 0.3526 0.3538
F16 0.9954 0.5955 0.4042



Simulated X-ray diffraction stick pattern of Na3Ni2P2C2O14 for Cu Kα, 1.54184 Å, from DFT lattice parameters and positions (PBE+U).

The 10 most intense peaks (10 to 80 degrees two-theta), sorted by position:
d [Å]  Position (°2θ)  I/Imax
5.287  16.77  57.3
5.205  17.04  55.1
4.545  19.53  34.6
4.452  19.94  53.0
4.029  22.06  30.4
3.641  24.45  31.7
3.447  25.84  80.3
3.221  27.69  100.0
2.630  34.08  63.2
2.593  34.59  77.5

Cell and atoms:
Cell lengths 8.2513, 8.2942, 9.0387 Å; angles 90.12, 91.60, 102.32 degrees
Positions (direct):
Na1 0.1301 0.1346 0.2427
Na2 0.3491 0.3941 0.7413
Na3 0.3681 0.8828 0.2508
Na4 0.6319 0.1172 0.7492
Na5 0.6509 0.6059 0.2587
Na6 0.8699 0.8654 0.7573
Ni1 0.2289 0.4852 0.3493
Ni2 0.2675 0.0145 0.6525
Ni3 0.7325 0.9855 0.3475
Ni4 0.7711 0.5148 0.6507
P1 0.0203 0.7708 0.4277
P2 0.4879 0.7345 0.5716
P3 0.5121 0.2655 0.4284
P4 0.9797 0.2292 0.5723
C1 0.2368 0.9830 0.9229
C2 0.2702 0.5178 0.0772
C3 0.7298 0.4822 0.9228
C4 0.7632 0.0170 0.0771
O1 0.0525 0.3041 0.4275
O2 0.0872 0.6498 0.3277
O3 0.1111 0.1728 0.6751
O4 0.1446 0.8870 0.8260
O5 0.1533 0.4066 0.1314
O6 0.1649 0.9241 0.4613
O7 0.2161 0.9722 0.0598
O8 0.2928 0.5369 0.9409
O9 0.3412 0.5859 0.5368
O10 0.3526 0.0933 0.8629
O11 0.3645 0.6108 0.1757
O12 0.3800 0.3224 0.3274
O13 0.4367 0.8721 0.6625
O14 0.4403 0.2014 0.5796
O15 0.5597 0.7986 0.4204
O16 0.5633 0.1279 0.3375
O17 0.6200 0.6776 0.6726
O18 0.6355 0.3892 0.8243
O19 0.6474 0.9067 0.1371
O20 0.6588 0.4141 0.4632
O21 0.7072 0.4631 0.0591
O22 0.7839 0.0278 0.9402
O23 0.8351 0.0759 0.5387
O24 0.8467 0.5934 0.8686
O25 0.8554 0.1130 0.1740
O26 0.8889 0.8272 0.3249
O27 0.9128 0.3502 0.6723
O28 0.9475 0.6959 0.5725



Simulated X-ray diffraction stick pattern of Mn3OF5 for Cu Kα, 1.54184 Å, from DFT lattice parameters and positions (PBE+U).

The 10 most intense peaks (10 to 80 degrees two-theta), sorted by position:
d [Å]  Position (°2θ)  I/Imax
3.537  25.18  100.0
3.388  26.31  91.8
2.709  33.07  97.7
2.394  37.57  20.9
1.838  49.61  68.0
1.797  50.79  27.8
1.792  50.97  28.3
1.768  51.69  20.3
1.460  63.76  22.8
1.456  63.92  23.2

Cell and atoms:
Cell lengths 5.8865, 5.8865, 7.5054 Å; angles 106.32, 106.32, 73.86 degrees
Positions (direct):
Mn1 0.0000 0.0000 0.0000
Mn2 0.0007 0.0007 0.5212
Mn3 0.3427 0.3427 0.8438
Mn4 0.3518 0.3518 0.3444
Mn5 0.6683 0.6683 0.1917
Mn6 0.6820 0.6820 0.6656
O1 0.5822 0.5822 0.3917
O2 0.8929 0.8929 0.7110
F1 0.0359 0.6425 0.3391
F2 0.1082 0.1082 0.3105
F3 0.2369 0.2369 0.0477
F4 0.3117 0.7049 0.0201
F5 0.3643 0.9798 0.6822
F6 0.4609 0.4609 0.6523
F7 0.6425 0.0359 0.3391
F8 0.7049 0.3117 0.0201
F9 0.7583 0.7583 0.9710
F10 0.9798 0.3643 0.6822



Simulated X-ray diffraction stick pattern of Li2Fe2B2O7 for Cu Kα, 1.54184 Å, from DFT lattice parameters and positions (PBE+U).

The 10 most intense peaks (10 to 80 degrees two-theta), sorted by position:
d [Å]  Position (°2θ)  I/Imax
6.613  13.39  57.6
6.064  14.61  100.0
3.986  22.30  42.0
3.548  25.10  35.1
3.307  26.96  43.6
3.072  29.06  84.6
2.823  31.69  34.6
2.498  35.95  35.8
2.449  36.69  51.9
2.404  37.41  25.9

Cell and atoms:
Cell lengths 5.2899, 12.1277, 9.4593 Å; angles 90.00, 123.48, 90.00 degrees
Positions (direct):
Li1 0.0140 0.2455 0.3183
Li2 0.0140 0.2545 0.8183
Li3 0.2709 0.1587 0.6264
Li4 0.2709 0.3413 0.1264
Li5 0.7291 0.6587 0.8736
Li6 0.7291 0.8413 0.3736
Li7 0.9860 0.7455 0.1817
Li8 0.9860 0.7545 0.6817
Fe1 0.1860 0.5117 0.8030
Fe2 0.1860 0.9883 0.3030
Fe3 0.4484 0.0948 0.1058
Fe4 0.4484 0.4052 0.6058
Fe5 0.5516 0.5948 0.3942
Fe6 0.5516 0.9052 0.8942
Fe7 0.8140 0.0117 0.6970
Fe8 0.8140 0.4883 0.1970
B1 0.2203 0.6186 0.5295
B2 0.2203 0.8814 0.0295
B3 0.3738 0.6782 0.0419
B4 0.3738 0.8218 0.5419
B5 0.6262 0.1782 0.4581
B6 0.6262 0.3218 0.9581
B7 0.7797 0.1186 0.9705
B8 0.7797 0.3814 0.4705
O1 0.0605 0.1647 0.0104
O2 0.0605 0.3353 0.5104
O3 0.0984 0.6418 0.8764
O4 0.0984 0.8582 0.3764
O5 0.1965 0.5328 0.4025
O6 0.1965 0.9672 0.9025
O7 0.3282 0.6631 0.1797
O8 0.3282 0.8369 0.6797
O9 0.3561 0.1183 0.4370
O10 0.3561 0.3817 0.9370
O11 0.3925 0.5552 0.6953
O12 0.3925 0.9448 0.1953
O13 0.4330 0.7007 0.5309
O14 0.4330 0.7993 0.0309
O15 0.5670 0.2007 0.9691
O16 0.5670 0.2993 0.4691
O17 0.6075 0.0552 0.8047
O18 0.6075 0.4448 0.3047
O19 0.6439 0.6183 0.0630
O20 0.6439 0.8817 0.5630
O21 0.6718 0.1631 0.3203
O22 0.6718 0.3369 0.8203
O23 0.8035 0.0328 0.0975
O24 0.8035 0.4672 0.5975
O25 0.9016 0.1418 0.6236
O26 0.9016 0.3582 0.1236
O27 0.9395 0.6647 0.4896
O28 0.9395 0.8353 0.9896



Simulated X-ray diffraction stick pattern of VCl2O for Cu Kα, 1.54184 Å, from DFT lattice parameters and positions (PBE+U).

The 10 most intense peaks (10 to 80 degrees two-theta), sorted by position:
d [Å]  Position (°2θ)  I/Imax
6.586  13.44  100.0
3.597  24.75  68.8
2.738  32.70  65.7
2.106  42.96  27.2
2.019  44.88  37.6
1.870  48.70  11.2
1.752  52.23  9.9
1.575  58.62  10.3
1.544  59.90  16.0
1.398  66.93  10.7

Cell and atoms:
Cell lengths 3.5031, 13.1728, 3.7396 Å; angles 90.00, 90.00, 90.00 degrees
Positions (direct):
V1 0.0000 0.0000 0.0000
V2 0.5000 0.5000 0.5000
Cl1 0.0000 0.3744 0.5575
Cl2 0.0000 0.6256 0.5575
Cl3 0.5000 0.1256 0.0575
Cl4 0.5000 0.8744 0.0575
O1 0.0000 0.0000 0.5484
O2 0.5000 0.5000 0.0484



Simulated X-ray diffraction stick pattern of LiVF3 for Cu Kα, 1.54184 Å, from DFT lattice parameters and positions (PBE+U).

The 10 most intense peaks (10 to 80 degrees two-theta), sorted by position:
d [Å]  Position (°2θ)  I/Imax
3.873  22.96  100.0
2.834  31.57  47.7
2.652  33.81  10.5
2.321  38.79  51.9
2.188  41.26  16.4
1.936  46.92  19.6
1.780  51.33  50.4
1.688  54.37  13.8
1.564  59.08  16.5
1.531  60.48  27.8

Cell and atoms:
Cell lengths 5.6958, 5.6958, 5.6958 Å; angles 55.49, 55.49, 55.49 degrees
Positions (direct):
Li1 0.0000 0.0000 0.0000
Li2 0.5000 0.5000 0.5000
V1 0.2893 0.2893 0.2893
V2 0.7893 0.7893 0.7893
F1 0.0694 0.3790 0.6957
F2 0.1957 0.8790 0.5694
F3 0.3790 0.6957 0.0694
F4 0.5694 0.1957 0.8790
F5 0.6957 0.0694 0.3790
F6 0.8790 0.5694 0.1957